Diffraction record for Ba2Mn3Se6O18. The powder XRD pattern is calculated, not measured: it uses a DFT-relaxed cell (PBE+U, the Materials Project) and a wavelength of 1.5418 Å.

Main lines, in order of rising 2θ (15° ≤ 2θ ≤ 90°):
2θ/deg, I (rel.)
25.30, 41.8
25.80, 41.9
26.22, 100.0
26.41, 19.6
28.09, 84.9
32.26, 43.7
32.61, 25.1
56.00, 17.4

Structural model:
Cell lengths 5.568, 9.246, 18.183 Å; angles 90.00, 94.52, 90.00 degrees
Fractional positions:
1 Ba 0.019 0.165 0.296
2 Ba 0.019 0.335 0.796
3 Ba 0.981 0.665 0.204
4 Ba 0.981 0.835 0.704
5 Mn 0.000 0.000 0.500
6 Mn 0.000 0.500 0.000
7 Mn 0.485 0.501 0.336
8 Mn 0.485 0.999 0.836
9 Mn 0.515 0.001 0.164
10 Mn 0.515 0.499 0.664
11 Se 0.010 0.141 0.068
12 Se 0.010 0.359 0.568
13 Se 0.495 0.147 0.688
14 Se 0.495 0.353 0.188
15 Se 0.498 0.204 0.452
16 Se 0.498 0.296 0.952
17 Se 0.502 0.704 0.048
18 Se 0.502 0.796 0.548
19 Se 0.505 0.647 0.812
20 Se 0.505 0.853 0.312
21 Se 0.990 0.641 0.432
22 Se 0.990 0.859 0.932
23 O 0.094 0.182 0.578
24 O 0.094 0.318 0.078
25 O 0.140 0.611 0.354
26 O 0.140 0.889 0.854
27 O 0.237 0.637 0.076
28 O 0.237 0.863 0.576
29 O 0.261 0.599 0.753
30 O 0.261 0.901 0.253
31 O 0.283 0.043 0.082
32 O 0.283 0.066 0.741
33 O 0.283 0.434 0.241
34 O 0.283 0.457 0.582
35 O 0.292 0.068 0.431
36 O 0.292 0.432 0.931
37 O 0.395 0.183 0.878
38 O 0.395 0.317 0.378
39 O 0.442 0.175 0.218
40 O 0.442 0.325 0.718
41 O 0.558 0.675 0.282
42 O 0.558 0.825 0.782
43 O 0.605 0.683 0.622
44 O 0.605 0.817 0.122
45 O 0.708 0.568 0.069
46 O 0.708 0.932 0.569
47 O 0.717 0.543 0.418
48 O 0.717 0.566 0.759
49 O 0.717 0.934 0.259
50 O 0.717 0.957 0.918
51 O 0.739 0.099 0.747
52 O 0.739 0.401 0.247
53 O 0.763 0.137 0.424
54 O 0.763 0.363 0.924
55 O 0.860 0.111 0.146
56 O 0.860 0.389 0.646
57 O 0.906 0.682 0.922
58 O 0.906 0.818 0.422


Diffraction record for Na6MgMo2N2O6. The powder XRD pattern is calculated, not measured: it uses a DFT-relaxed cell (PBE+U, the Materials Project) and a wavelength of 1.5418 Å.

Main lines, in order of rising 2θ (15° ≤ 2θ ≤ 90°):
2θ/deg, I (rel.)
18.35, 96.4
19.89, 100.0
20.22, 69.3
21.14, 71.2
27.86, 63.9
31.98, 87.0
32.19, 77.1
32.97, 97.0

Structural model:
Cell lengths 5.436, 6.411, 7.648 Å; angles 88.16, 88.96, 88.34 degrees
Fractional positions:
1 Na 0.000 0.000 0.000
2 Na 0.019 0.994 0.473
3 Na 0.484 0.631 0.505
4 Na 0.516 0.742 0.960
5 Na 0.536 0.110 0.278
6 Na 0.975 0.493 0.745
7 Mg 0.383 0.367 0.030
8 Mo 0.468 0.148 0.724
9 Mo 0.956 0.505 0.244
10 N 0.146 0.142 0.730
11 N 0.630 0.493 0.213
12 O 0.049 0.633 0.449
13 O 0.119 0.611 0.024
14 O 0.131 0.231 0.207
15 O 0.534 0.448 0.779
16 O 0.562 0.084 0.975
17 O 0.606 0.985 0.543


Diffraction record for CrO2. The powder XRD pattern is calculated, not measured: it uses a DFT-relaxed cell (PBE+U, the Materials Project) and a wavelength of 1.5418 Å.

Main lines, in order of rising 2θ (15° ≤ 2θ ≤ 90°):
2θ/deg, I (rel.)
32.06, 100.0
37.18, 57.2
41.77, 19.9
45.97, 11.6
53.60, 45.3
63.84, 68.5
67.04, 13.7
88.03, 11.2

Structural model:
Cell lengths 4.836, 4.836, 4.836 Å; angles 90.00, 90.00, 90.00 degrees
Fractional positions:
1 Cr 0.000 0.000 0.000
2 Cr 0.000 0.500 0.500
3 Cr 0.500 0.000 0.500
4 Cr 0.500 0.500 0.000
5 O 0.138 0.638 0.862
6 O 0.138 0.862 0.362
7 O 0.362 0.138 0.862
8 O 0.362 0.362 0.362
9 O 0.638 0.638 0.638
10 O 0.638 0.862 0.138
11 O 0.862 0.138 0.638
12 O 0.862 0.362 0.138


Diffraction record for Li5Mn3O8. The powder XRD pattern is calculated, not measured: it uses a DFT-relaxed cell (PBE+U, the Materials Project) and a wavelength of 1.5418 Å.

Main lines, in order of rising 2θ (15° ≤ 2θ ≤ 90°):
2θ/deg, I (rel.)
17.87, 11.8
18.37, 100.0
34.96, 16.4
36.20, 12.2
36.50, 12.0
41.77, 33.4
44.36, 59.1
64.53, 17.7

Structural model:
Cell lengths 2.944, 6.454, 7.856 Å; angles 89.87, 82.39, 77.41 degrees
Fractional positions:
1 Li 0.000 0.000 0.000
2 Li 0.186 0.884 0.648
3 Li 0.260 0.358 0.128
4 Li 0.740 0.642 0.872
5 Li 0.814 0.116 0.352
6 Mn 0.000 0.500 0.500
7 Mn 0.475 0.244 0.761
8 Mn 0.525 0.756 0.239
9 O 0.057 0.206 0.589
10 O 0.115 0.690 0.084
11 O 0.341 0.552 0.683
12 O 0.405 0.039 0.194
13 O 0.595 0.961 0.806
14 O 0.659 0.448 0.317
15 O 0.885 0.310 0.916
16 O 0.943 0.794 0.411


Diffraction record for Mn7V5O16. The powder XRD pattern is calculated, not measured: it uses a DFT-relaxed cell (PBE+U, the Materials Project) and a wavelength of 1.5418 Å.

Main lines, in order of rising 2θ (15° ≤ 2θ ≤ 90°):
2θ/deg, I (rel.)
29.28, 76.1
33.94, 44.6
34.15, 53.8
34.69, 100.0
35.31, 87.9
42.68, 38.3
55.98, 28.9
60.70, 89.2

Structural model:
Cell lengths 8.795, 12.174, 5.902 Å; angles 90.00, 90.00, 90.00 degrees
Fractional positions:
1 Mn 0.000 0.000 0.000
2 Mn 0.007 0.249 0.000
3 Mn 0.121 0.870 0.500
4 Mn 0.125 0.375 0.500
5 Mn 0.375 0.875 0.000
6 Mn 0.379 0.370 0.000
7 Mn 0.493 0.749 0.500
8 Mn 0.500 0.500 0.500
9 Mn 0.507 0.251 0.500
10 Mn 0.621 0.630 0.000
11 Mn 0.625 0.125 0.000
12 Mn 0.875 0.625 0.500
13 Mn 0.879 0.130 0.500
14 Mn 0.993 0.751 0.000
15 V 0.000 0.500 0.000
16 V 0.246 0.622 0.241
17 V 0.246 0.622 0.759
18 V 0.254 0.122 0.259
19 V 0.254 0.122 0.741
20 V 0.500 0.000 0.500
21 V 0.746 0.878 0.259
22 V 0.746 0.878 0.741
23 V 0.754 0.378 0.241
24 V 0.754 0.378 0.759
25 O 0.014 0.623 0.226
26 O 0.014 0.623 0.774
27 O 0.025 0.123 0.235
28 O 0.025 0.123 0.765
29 O 0.234 0.503 0.000
30 O 0.242 0.739 0.000
31 O 0.248 0.514 0.500
32 O 0.248 0.732 0.500
33 O 0.252 0.014 0.000
34 O 0.252 0.232 0.000
35 O 0.258 0.239 0.500
36 O 0.266 0.003 0.500
37 O 0.475 0.623 0.265
38 O 0.475 0.623 0.735
39 O 0.486 0.123 0.274
40 O 0.486 0.123 0.726
41 O 0.514 0.877 0.274
42 O 0.514 0.877 0.726
43 O 0.525 0.377 0.265
44 O 0.525 0.377 0.735
45 O 0.734 0.997 0.500
46 O 0.742 0.761 0.500
47 O 0.748 0.768 0.000
48 O 0.748 0.986 0.000
49 O 0.752 0.268 0.500
50 O 0.752 0.486 0.500
51 O 0.758 0.261 0.000
52 O 0.766 0.497 0.000
53 O 0.975 0.877 0.235
54 O 0.975 0.877 0.765
55 O 0.986 0.377 0.226
56 O 0.986 0.377 0.774


Diffraction record for K3NiF6. The powder XRD pattern is calculated, not measured: it uses a DFT-relaxed cell (PBE+U, the Materials Project) and a wavelength of 1.5418 Å.

Main lines, in order of rising 2θ (15° ≤ 2θ ≤ 90°):
2θ/deg, I (rel.)
17.55, 22.6
20.29, 23.5
28.84, 100.0
41.25, 62.7
51.11, 30.8
59.75, 32.2
67.69, 18.8
82.44, 18.5

Structural model:
Cell lengths 6.191, 6.191, 6.191 Å; angles 60.00, 60.00, 60.00 degrees
Fractional positions:
1 K 0.000 0.000 0.000
2 K 0.250 0.250 0.250
3 K 0.750 0.750 0.750
4 Ni 0.500 0.500 0.500
5 F 0.283 0.283 0.717
6 F 0.283 0.717 0.283
7 F 0.283 0.717 0.717
8 F 0.717 0.283 0.283
9 F 0.717 0.283 0.717
10 F 0.717 0.717 0.283


Diffraction record for KV3Cu5O13. The powder XRD pattern is calculated, not measured: it uses a DFT-relaxed cell (PBE+U, the Materials Project) and a wavelength of 1.5418 Å.

Main lines, in order of rising 2θ (15° ≤ 2θ ≤ 90°):
2θ/deg, I (rel.)
25.63, 36.7
29.07, 100.0
31.34, 59.7
32.63, 68.9
32.68, 45.0
34.31, 37.9
43.54, 35.2
60.26, 38.2

Structural model:
Cell lengths 6.152, 8.306, 10.902 Å; angles 97.91, 92.75, 90.59 degrees
Fractional positions:
1 K 0.248 0.021 0.402
2 K 0.752 0.979 0.598
3 V 0.240 0.625 0.494
4 V 0.257 0.972 0.788
5 V 0.259 0.680 0.122
6 V 0.741 0.320 0.878
7 V 0.743 0.028 0.212
8 V 0.760 0.375 0.506
9 Cu 0.001 0.605 0.771
10 Cu 0.225 0.105 0.104
11 Cu 0.257 0.308 0.645
12 Cu 0.268 0.354 0.939
13 Cu 0.492 0.394 0.233
14 Cu 0.508 0.606 0.767
15 Cu 0.732 0.646 0.061
16 Cu 0.743 0.692 0.355
17 Cu 0.775 0.895 0.896
18 Cu 0.999 0.395 0.229
19 O 0.003 0.731 0.467
20 O 0.020 0.843 0.778
21 O 0.021 0.619 0.190
22 O 0.233 0.344 0.116
23 O 0.237 0.883 0.121
24 O 0.243 0.552 0.657
25 O 0.251 0.077 0.663
26 O 0.256 0.463 0.381
27 O 0.271 0.117 0.925
28 O 0.272 0.588 0.968
29 O 0.455 0.750 0.481
30 O 0.481 0.844 0.779
31 O 0.486 0.368 0.796
32 O 0.514 0.632 0.204
33 O 0.519 0.156 0.221
34 O 0.545 0.250 0.519
35 O 0.728 0.412 0.032
36 O 0.729 0.883 0.075
37 O 0.744 0.537 0.619
38 O 0.749 0.923 0.337
39 O 0.757 0.448 0.343
40 O 0.763 0.117 0.879
41 O 0.767 0.656 0.884
42 O 0.979 0.381 0.810
43 O 0.980 0.157 0.222
44 O 0.997 0.269 0.533


Diffraction record for V2ZnO6. The powder XRD pattern is calculated, not measured: it uses a DFT-relaxed cell (PBE+U, the Materials Project) and a wavelength of 1.5418 Å.

Main lines, in order of rising 2θ (15° ≤ 2θ ≤ 90°):
2θ/deg, I (rel.)
20.29, 33.7
21.11, 61.3
33.45, 100.0
34.45, 21.4
42.08, 18.7
44.88, 17.0
51.02, 25.0
61.07, 15.9

Structural model:
Cell lengths 4.929, 5.207, 9.454 Å; angles 90.00, 121.29, 90.00 degrees
Fractional positions:
1 V 0.000 0.234 0.000
2 V 0.000 0.766 0.500
3 V 0.441 0.250 0.473
4 V 0.441 0.750 0.973
5 Zn 0.177 0.292 0.724
6 Zn 0.177 0.708 0.224
7 O 0.124 0.484 0.390
8 O 0.124 0.516 0.890
9 O 0.204 0.033 0.894
10 O 0.204 0.967 0.394
11 O 0.301 0.279 0.195
12 O 0.301 0.721 0.695
13 O 0.519 0.239 0.671
14 O 0.519 0.761 0.171
15 O 0.711 0.451 0.983
16 O 0.711 0.549 0.483
17 O 0.838 0.077 0.522
18 O 0.838 0.923 0.022


Diffraction record for Li3Co3CuO8. The powder XRD pattern is calculated, not measured: it uses a DFT-relaxed cell (PBE+U, the Materials Project) and a wavelength of 1.5418 Å.

Main lines, in order of rising 2θ (15° ≤ 2θ ≤ 90°):
2θ/deg, I (rel.)
18.22, 100.0
36.13, 40.4
43.60, 66.1
47.62, 13.7
57.30, 14.5
62.82, 18.0
63.91, 18.0
67.07, 14.2

Structural model:
Cell lengths 5.918, 5.918, 5.918 Å; angles 58.98, 58.98, 58.98 degrees
Fractional positions:
1 Li 0.000 0.500 0.500
2 Li 0.500 0.000 0.500
3 Li 0.500 0.500 0.000
4 Co 0.000 0.000 0.500
5 Co 0.000 0.500 0.000
6 Co 0.500 0.000 0.000
7 Cu 0.500 0.500 0.500
8 O 0.244 0.244 0.244
9 O 0.246 0.736 0.736
10 O 0.264 0.264 0.754
11 O 0.264 0.754 0.264
12 O 0.736 0.246 0.736
13 O 0.736 0.736 0.246
14 O 0.754 0.264 0.264
15 O 0.756 0.756 0.756